Structure and computed X-ray powder pattern of TbB3O6 (a structure optimized by DFT (PBE); Cu Kα, 1.54184 Å).
Peak positions follow from Bragg's law for the DFT cell and can differ from measured ones.

Atomic structure:
Lattice parameters (Å, degrees): 6.1576 8.4102 7.8297 90.00 90.00 90.00
Space group Ibam (No. 72)
One atom of each set of equivalent atoms:
1 Tb 0.0000 0.0000 0.2500
2 B 0.0000 0.5000 0.2500
3 B 0.1187 0.3176 0.0000
4 O 0.0642 0.1627 0.0000
5 O 0.1523 0.3961 0.1517

Main lines, low angle first (2θ from 10° to 80°):
| 2theta | I/Imax | index |
| --- | --- | --- |
| 17.85 | 100 | 1 1 0 |
| 21.13 | 54 | 0 2 0 |
| 22.71 | 34 | 0 0 2 |
| 29.03 | 92 | 2 0 0 |
| 31.22 | 65 | 0 2 2 |
| 35.17 | 25 | 1 3 0 |
| 42.28 | 43 | 1 3 2 |
| 43.13 | 41 | 2 2 2 |
| 50.09 | 29 | 1 1 4 |
| 51.45 | 27 | 3 1 2 |